This entry pairs a crystal structure of Ac2AlGaAg6 with its computed powder XRD pattern. Radiation: λ = 1.5418 Å (Cu Kα). Structure: a cell relaxed with GGA-PBE.
Lines closer than 0.1° are merged.

Principal peaks in the range 10° ≤ 2θ ≤ 90°, in order of rising 2θ:
2θ (°), d [Å], I_rel
25.19, 3.535, 22
30.59, 2.923, 71
31.39, 2.849, 67
35.94, 2.499, 100
50.71, 1.800, 12
51.72, 1.767, 46
60.87, 1.522, 20
62.28, 1.491, 18

Cell and atoms:
```
Ac2AlGaAg6
1.0
-3.4664 3.6005 5.0039
3.4664 -3.6005 5.0039
3.4664 3.6005 -5.0039
Ac Al Ga Ag
2 1 1 6
Direct
0.2502 0.2502 0.0000 Ac
0.7498 0.7498 0.0000 Ac
0.5000 0.0000 0.5000 Al
0.0000 0.5000 0.5000 Ga
0.2507 0.2491 0.4998 Ag
0.2507 0.7509 0.0015 Ag
0.2508 0.7508 0.5000 Ag
0.7492 0.2492 0.5000 Ag
0.7493 0.2491 0.9985 Ag
0.7493 0.7509 0.5002 Ag
```